No. 1
Starting from a cell relaxed with GGA-PBE, the XRD peak list of MgI2O16 was computed for Cu Ka.

Main lines, low angle first (2θ from 15° to 90°):
two_theta, d (Å), I_rel, hkl
15.60, 5.680, 100, 0 1 1
15.98, 5.546, 33, 0 0 2
16.35, 5.423, 18, 2 0 -2
20.98, 4.235, 12, 2 1 -1
23.16, 3.840, 15, 1 0 2
23.68, 3.757, 15, 3 0 -2
24.24, 3.672, 28, 2 1 -3
26.94, 3.309, 11, 0 2 0
27.63, 3.229, 11, 0 1 3
28.00, 3.187, 11, 3 0 -4
28.82, 3.098, 18, 3 1 -1
31.48, 2.842, 14, 0 2 2

Atomic structure:
```
MgI2O16
1.0
11.287 0.000 0.000
0.000 6.618 0.000
-8.088 0.000 11.093
Mg I O
2 4 32
direct
0.000 0.000 0.000
0.000 0.500 0.500
0.332 0.010 0.032
0.332 0.490 0.532
0.668 0.510 0.468
0.668 0.990 0.968
0.022 0.209 0.795
0.022 0.291 0.295
0.053 0.634 0.676
0.053 0.866 0.176
0.144 0.113 0.643
0.144 0.387 0.143
0.173 0.517 0.096
0.173 0.983 0.596
0.204 0.518 0.574
0.204 0.982 0.074
0.251 0.643 0.400
0.251 0.857 0.900
0.329 0.227 0.501
0.329 0.273 0.001
0.495 0.081 0.843
0.495 0.419 0.343
0.505 0.581 0.657
0.505 0.919 0.157
0.671 0.727 0.999
0.671 0.773 0.499
0.749 0.143 0.100
0.749 0.357 0.600
0.796 0.018 0.926
0.796 0.482 0.426
0.827 0.017 0.404
0.827 0.483 0.904
0.856 0.613 0.857
0.856 0.887 0.357
0.947 0.134 0.824
0.947 0.366 0.324
0.978 0.709 0.705
0.978 0.791 0.205
```

=====

No. 2
Starting from a cell relaxed with GGA-PBE, the XRD peak list of MgI2O16 was computed for Cu Ka.

Main lines, low angle first (2θ from 15° to 90°):
two_theta, d (Å), I_rel, hkl
16.36, 5.418, 20, 1 0 -2
19.25, 4.610, 26, 0 1 1
19.76, 4.492, 100, 2 0 -2
23.15, 3.842, 24, 1 0 2
24.13, 3.688, 10, 2 1 -1
27.85, 3.203, 10, 3 0 0
29.24, 3.054, 12, 2 1 1
33.22, 2.697, 8, 1 0 -4
34.58, 2.594, 10, 0 2 0
35.97, 2.497, 11, 0 0 4
38.91, 2.315, 11, 4 1 -1
40.11, 2.248, 9, 2 2 -2

Atomic structure:
```
MgI2O16
1.0
10.507 0.000 0.000
0.000 5.196 0.000
-4.415 0.000 9.990
Mg I O
2 4 32
direct
0.000 0.000 0.000
0.000 0.500 0.500
0.363 0.039 0.374
0.363 0.461 0.874
0.637 0.539 0.126
0.637 0.961 0.626
0.056 0.685 0.345
0.056 0.815 0.845
0.086 0.638 0.050
0.086 0.862 0.550
0.156 0.231 0.532
0.156 0.269 0.032
0.182 0.151 0.352
0.182 0.349 0.852
0.297 0.697 0.387
0.297 0.803 0.887
0.312 0.556 0.696
0.312 0.944 0.196
0.417 0.131 0.844
0.417 0.369 0.344
0.441 0.082 0.573
0.441 0.418 0.073
0.559 0.582 0.927
0.559 0.918 0.427
0.583 0.631 0.656
0.583 0.869 0.156
0.688 0.056 0.804
0.688 0.444 0.304
0.703 0.197 0.113
0.703 0.303 0.613
0.818 0.651 0.148
0.818 0.849 0.648
0.844 0.731 0.968
0.844 0.769 0.468
0.914 0.138 0.450
0.914 0.362 0.950
0.944 0.185 0.155
0.944 0.315 0.655
```

=====

No. 3
Starting from a cell relaxed with GGA-PBE, the XRD peak list of Sr8MgP4I4O16 was computed for Cu Ka.

Main lines, low angle first (2θ from 15° to 90°):
two_theta, d (Å), I_rel, hkl
22.11, 4.020, 71, 0 2 2
22.52, 3.948, 21, 2 1 0
26.70, 3.338, 68, 2 1 -1
26.88, 3.316, 100, 2 -1 1
27.65, 3.226, 16, 0 2 -1
28.66, 3.114, 20, 2 0 -2
30.10, 2.969, 31, 1 2 3
30.51, 2.930, 28, 0 0 3
31.69, 2.824, 29, -1 3 2
33.94, 2.642, 26, 2 1 3
35.46, 2.532, 23, 2 3 1
35.85, 2.505, 34, 0 2 -2

Atomic structure:
```
Sr8MgP4I4O16
1.0
8.904 0.000 0.000
0.207 9.190 0.000
0.157 4.324 8.787
Sr Mg P I O
8 1 4 4 16
direct
0.000 0.000 0.000
0.014 0.503 0.653
0.137 0.001 0.619
0.183 0.480 0.016
0.493 0.451 0.534
0.513 0.924 0.890
0.660 0.922 0.521
0.679 0.491 0.069
0.636 0.263 0.918
0.272 0.225 0.802
0.396 0.697 0.737
0.783 0.193 0.696
0.894 0.733 0.815
0.200 0.690 0.264
0.412 0.250 0.315
0.699 0.744 0.256
0.950 0.171 0.275
0.009 0.817 0.873
0.167 0.276 0.904
0.232 0.651 0.724
0.240 0.045 0.843
0.240 0.341 0.633
0.409 0.887 0.671
0.431 0.627 0.913
0.444 0.232 0.825
0.510 0.645 0.645
0.675 0.139 0.607
0.729 0.766 0.848
0.745 0.373 0.665
0.748 0.087 0.872
0.914 0.793 0.639
0.925 0.545 0.899
0.952 0.180 0.670
```

=====

No. 4
Starting from a cell relaxed with GGA-PBE, the XRD peak list of Sr8MgP4I4O16 was computed for Cu Ka.

Main lines, low angle first (2θ from 15° to 90°):
two_theta, d (Å), I_rel, hkl
19.62, 4.524, 48, 0 2 0
23.08, 3.854, 67, 2 0 2
24.66, 3.610, 52, 2 1 0
26.39, 3.378, 100, -1 2 1
26.86, 3.319, 63, 1 2 -1
27.29, 3.268, 31, 1 -2 2
30.02, 2.976, 70, 0 0 3
30.63, 2.919, 58, 2 1 3
31.01, 2.883, 30, 2 -1 3
31.87, 2.808, 33, 0 1 -3
42.88, 2.109, 33, 4 1 2
43.81, 2.066, 40, 1 4 2

Atomic structure:
```
Sr8MgP4I4O16
1.0
8.677 0.000 0.000
0.037 9.050 0.000
4.064 0.217 8.924
Sr Mg P I O
8 1 4 4 16
direct
0.000 0.000 0.000
0.002 0.875 0.633
0.425 0.372 0.902
0.434 0.512 0.522
0.496 0.843 0.009
0.507 0.981 0.626
0.928 0.478 0.899
0.930 0.355 0.531
0.462 0.173 0.260
0.212 0.230 0.720
0.222 0.727 0.808
0.708 0.627 0.722
0.720 0.124 0.809
0.119 0.985 0.278
0.266 0.537 0.256
0.663 0.810 0.275
0.805 0.352 0.254
0.027 0.756 0.869
0.128 0.251 0.894
0.139 0.348 0.644
0.183 0.068 0.689
0.249 0.563 0.840
0.296 0.840 0.883
0.304 0.757 0.635
0.406 0.261 0.661
0.526 0.093 0.866
0.624 0.598 0.896
0.637 0.514 0.646
0.683 0.791 0.690
0.747 0.286 0.841
0.792 0.006 0.886
0.806 0.103 0.636
0.903 0.598 0.664
```

=====

No. 5
Starting from a cell relaxed with GGA-PBE, the XRD peak list of Sr8MgP4I4O16 was computed for Cu Ka.

Main lines, low angle first (2θ from 15° to 90°):
two_theta, d (Å), I_rel, hkl
19.86, 4.471, 25, 2 0 0
22.43, 3.964, 22, 2 -1 0
22.84, 3.894, 63, 0 2 2
23.01, 3.865, 40, 1 2 0
26.11, 3.413, 100, 2 1 -1
26.18, 3.404, 23, 0 2 -1
27.54, 3.239, 33, -2 1 2
28.03, 3.183, 20, 1 2 -1
30.02, 2.977, 26, 0 0 3
31.31, 2.857, 25, -1 2 3
35.41, 2.535, 22, 1 2 -2
42.15, 2.144, 21, -4 1 1

Atomic structure:
```
Sr8MgP4I4O16
1.0
8.946 0.000 0.000
0.051 9.226 0.000
0.089 3.556 8.929
Sr Mg P I O
8 1 4 4 16
direct
0.000 0.000 0.000
0.007 0.487 0.674
0.110 0.231 0.475
0.149 0.516 0.016
0.499 0.435 0.547
0.518 0.947 0.906
0.623 0.430 0.931
0.658 0.920 0.547
0.122 0.867 0.568
0.275 0.237 0.829
0.388 0.697 0.749
0.768 0.210 0.726
0.876 0.725 0.826
0.130 0.643 0.307
0.424 0.280 0.274
0.643 0.768 0.270
0.870 0.212 0.224
0.154 0.308 0.904
0.223 0.665 0.712
0.249 0.317 0.654
0.252 0.058 0.888
0.404 0.620 0.923
0.419 0.874 0.695
0.439 0.270 0.856
0.505 0.625 0.673
0.653 0.150 0.639
0.716 0.780 0.840
0.735 0.386 0.695
0.753 0.112 0.897
0.890 0.542 0.892
0.910 0.773 0.652
0.934 0.205 0.677
0.996 0.786 0.905
```

=====

No. 6
Starting from a cell relaxed with GGA-PBE, the XRD peak list of Sr8MgP4I4O16 was computed for Cu Ka.

Main lines, low angle first (2θ from 15° to 90°):
two_theta, d (Å), I_rel, hkl
19.94, 4.452, 25, 2 0 -1
22.62, 3.930, 70, 2 0 -2
24.14, 3.687, 32, 2 -1 0
26.58, 3.353, 41, 1 -2 1
27.15, 3.285, 100, 1 2 1
28.27, 3.156, 29, 0 2 -2
28.74, 3.106, 37, 0 2 2
29.60, 3.018, 36, 2 -2 0
30.21, 2.958, 26, 2 2 0
30.66, 2.916, 99, 0 0 3
32.42, 2.762, 24, 3 1 -2
36.41, 2.468, 36, 2 0 2

Atomic structure:
```
Sr8MgP4I4O16
1.0
8.908 0.000 0.000
-0.137 8.960 0.000
-4.235 -0.136 8.751
Sr Mg P I O
8 1 4 4 16
direct
0.000 0.000 0.000
0.002 0.110 0.620
0.424 0.492 0.711
0.456 0.604 0.102
0.492 0.963 0.615
0.537 0.121 0.989
0.938 0.605 0.719
0.942 0.470 0.099
0.443 0.971 0.251
0.202 0.348 0.891
0.252 0.852 0.839
0.714 0.740 0.901
0.728 0.246 0.796
0.160 0.181 0.364
0.282 0.652 0.361
0.723 0.342 0.320
0.820 0.796 0.384
0.065 0.878 0.795
0.109 0.375 0.715
0.148 0.466 0.979
0.168 0.185 0.922
0.273 0.688 0.800
0.309 0.969 0.752
0.359 0.878 0.017
0.393 0.372 0.940
0.536 0.221 0.743
0.620 0.717 0.724
0.650 0.618 0.977
0.692 0.904 0.940
0.761 0.407 0.763
0.787 0.120 0.721
0.814 0.224 0.975
0.905 0.715 0.956
```

=====

No. 7
Starting from a cell relaxed with GGA-PBE, the XRD peak list of Sr8MgP4I4O16 was computed for Cu Ka.

Main lines, low angle first (2θ from 15° to 90°):
two_theta, d (Å), I_rel, hkl
20.40, 4.353, 35, 1 1 1
23.50, 3.786, 36, 2 -1 0
24.15, 3.685, 86, 2 0 -2
24.31, 3.662, 67, 1 -2 1
27.12, 3.289, 100, 1 2 1
28.58, 3.124, 71, -2 2 1
29.59, 3.019, 36, 0 0 3
29.96, 2.983, 38, 0 1 -3
30.14, 2.965, 41, 2 2 0
32.19, 2.780, 59, 1 -3 1
43.59, 2.076, 50, 4 1 -2
44.68, 2.028, 42, 1 4 1

Atomic structure:
```
Sr8MgP4I4O16
1.0
8.593 0.000 0.000
-0.107 9.286 0.000
-3.150 -1.163 9.054
Sr Mg P I O
8 1 4 4 16
direct
0.000 0.000 0.000
0.008 0.280 0.572
0.371 0.563 0.477
0.434 0.376 0.130
0.476 0.013 0.387
0.509 0.841 0.013
0.920 0.471 0.131
0.973 0.904 0.364
0.845 0.589 0.572
0.197 0.741 0.193
0.199 0.253 0.307
0.680 0.662 0.285
0.712 0.137 0.209
0.184 0.988 0.737
0.328 0.494 0.794
0.641 0.834 0.713
0.784 0.256 0.797
0.008 0.763 0.134
0.113 0.375 0.376
0.133 0.246 0.135
0.172 0.104 0.355
0.226 0.576 0.170
0.262 0.792 0.364
0.280 0.842 0.117
0.388 0.296 0.363
0.522 0.096 0.158
0.588 0.573 0.364
0.631 0.600 0.119
0.645 0.825 0.297
0.733 0.292 0.176
0.788 0.125 0.379
0.791 0.020 0.127
0.869 0.648 0.364
```

=====

No. 8
Starting from a cell relaxed with GGA-PBE, the XRD peak list of Mn3I was computed for Cu Ka.

Main lines, low angle first (2θ from 15° to 90°):
two_theta, d (Å), I_rel, hkl
22.70, 3.917, 18, 1 0 0
32.32, 2.770, 15, 1 1 0
39.86, 2.262, 100, 1 1 1
46.36, 1.959, 48, 2 0 0
52.22, 1.752, 8, 2 1 0
57.64, 1.599, 6, 2 1 1
67.65, 1.385, 29, 2 2 0
72.37, 1.306, 4, 3 0 0
76.98, 1.239, 3, 3 1 0
81.50, 1.181, 34, 3 1 1
85.96, 1.131, 10, 2 2 2

Atomic structure:
```
Mn3I
1.0
3.917 0.000 0.000
0.000 3.917 0.000
0.000 0.000 3.917
Mn I
3 1
direct
0.000 0.000 0.500
0.000 0.500 0.000
0.500 0.000 0.000
0.500 0.500 0.500
```